Ba3Dy2MoO9: theoretical X-ray diffraction stick pattern (Cu Ka), based on a structure optimized by DFT (PBE+U).
Kinematic intensities with the Lorentz-polarization factor, no thermal factor.

Principal peaks in the range 2θ = 5–70°, in order of rising 2θ:
2theta, I_rel
11.31, 1
17.79, 1
20.57, 1
29.25, 100
34.45, 1
36.03, 1
41.77, 10
41.88, 19
51.87, 39
60.67, 18
68.65, 6
68.81, 12

Cell and atoms:
```
Ba3Dy2MoO9
1.0
-3.050 4.325 9.154
3.050 -4.325 9.154
3.050 4.325 -9.154
Ba Dy Mo O
6 4 2 18
direct
0.080 0.339 0.741
0.235 0.000 0.235
0.402 0.661 0.741
0.598 0.339 0.259
0.765 0.000 0.765
0.920 0.661 0.259
0.000 0.500 0.500
0.172 0.172 0.000
0.500 0.500 0.000
0.828 0.828 0.000
0.334 0.834 0.500
0.666 0.166 0.500
0.090 0.339 0.250
0.090 0.840 0.750
0.101 0.830 0.271
0.253 0.500 0.753
0.260 0.531 0.271
0.260 0.989 0.729
0.410 0.139 0.728
0.410 0.682 0.272
0.442 0.170 0.271
0.558 0.830 0.729
0.590 0.318 0.728
0.590 0.861 0.272
0.740 0.011 0.271
0.740 0.469 0.729
0.747 0.500 0.247
0.899 0.170 0.729
0.910 0.160 0.250
0.910 0.661 0.750
```



HoZnFe2O6: theoretical X-ray diffraction stick pattern (Cu Ka), based on a structure optimized by DFT (PBE+U).
Kinematic intensities with the Lorentz-polarization factor, no thermal factor.

Principal peaks in the range 2θ = 5–70°, in order of rising 2θ:
2theta, I_rel
20.04, 11
20.65, 15
26.40, 13
32.89, 20
33.46, 100
34.42, 23
47.74, 14
48.35, 19
54.89, 13
59.19, 9
60.18, 12
61.05, 23

Cell and atoms:
```
HoZnFe2O6
1.0
7.620 0.000 0.000
0.000 5.447 0.000
0.000 0.000 5.211
Ho Zn Fe O
2 2 4 12
direct
0.000 0.182 0.000
0.500 0.818 0.500
0.000 0.712 0.474
0.500 0.288 0.974
0.250 0.262 0.484
0.250 0.738 0.984
0.750 0.262 0.484
0.750 0.738 0.984
0.000 0.301 0.591
0.000 0.786 0.855
0.188 0.445 0.178
0.189 0.939 0.292
0.311 0.061 0.792
0.312 0.555 0.678
0.500 0.214 0.355
0.500 0.699 0.091
0.688 0.555 0.678
0.689 0.061 0.792
0.811 0.939 0.292
0.812 0.445 0.178
```